Record 1
The following is a simulated powder diffractogram of K2NaAuCl6. It was derived from a structure optimized by DFT (PBE), using Cu Ka.
No peak broadening, texture or thermal motion is included.

```
data_K2NaAuCl6
_chemical_formula_sum 'K8 Na4 Au4 Cl24'
_space_group_name_H-M_alt 'F m -3 m'
_space_group_IT_number 225
_space_group_name_Hall '-F 4 2 3'
_cell_length_a 10.4721
_cell_length_b 10.4721
_cell_length_c 10.4721
_cell_angle_alpha 90.00
_cell_angle_beta 90.00
_cell_angle_gamma 90.00
loop_
_atom_site_label
_atom_site_type_symbol
_atom_site_fract_x
_atom_site_fract_y
_atom_site_fract_z
K1 K 0.2500 0.2500 0.2500
Na1 Na 0.0000 0.0000 0.0000
Au1 Au 0.0000 0.0000 0.5000
Cl1 Cl 0.0000 0.0000 0.2602
```

Principal peaks in the range 2θ from 15° to 90°, most intense first:
34.3°, I 100, hkl 4 0 0; 24.0°, I 99, hkl 2 2 0; 16.9°, I 95, hkl 2 0 0; 28.3°, I 70, hkl 3 1 1; 49.2°, I 66, hkl 4 4 0; 38.4°, I 49, hkl 4 2 0; 42.3°, I 45, hkl 4 2 2; 45.0°, I 34, hkl 5 1 1; 51.6°, I 33, hkl 5 3 1; 37.4°, I 27, hkl 3 3 1

Record 2
The following is a simulated powder diffractogram of K2RbAuCl6. It was derived from a structure optimized by DFT (PBE), using Cu Ka.
No peak broadening, texture or thermal motion is included.

```
data_K2RbAuCl6
_chemical_formula_sum 'K8 Rb4 Au4 Cl24'
_space_group_name_H-M_alt 'F m -3 m'
_space_group_IT_number 225
_space_group_name_Hall '-F 4 2 3'
_cell_length_a 11.1482
_cell_length_b 11.1482
_cell_length_c 11.1482
_cell_angle_alpha 90.00
_cell_angle_beta 90.00
_cell_angle_gamma 90.00
loop_
_atom_site_label
_atom_site_type_symbol
_atom_site_fract_x
_atom_site_fract_y
_atom_site_fract_z
K1 K 0.2500 0.2500 0.2500
Rb1 Rb 0.0000 0.0000 0.0000
Au1 Au 0.0000 0.0000 0.5000
Cl1 Cl 0.0000 0.0000 0.2748
```

Principal peaks in the range 2θ from 15° to 90°, most intense first:
22.6°, I 100, hkl 2 2 0; 15.9°, I 97, hkl 2 0 0; 32.1°, I 75, hkl 4 0 0; 46.1°, I 49, hkl 4 4 0; 36.0°, I 47, hkl 4 2 0; 39.6°, I 43, hkl 4 2 2; 62.3°, I 27, hkl 6 4 2; 51.9°, I 25, hkl 6 2 0; 49.0°, I 25, hkl 6 0 0; 76.4°, I 18, hkl 8 4 0

Record 3
The following is a simulated powder diffractogram of KRb2AuCl6. It was derived from a structure optimized by DFT (PBE), using Cu Ka.
No peak broadening, texture or thermal motion is included.

```
data_KRb2AuCl6
_chemical_formula_sum 'K4 Rb8 Au4 Cl24'
_space_group_name_H-M_alt 'F m -3 m'
_space_group_IT_number 225
_space_group_name_Hall '-F 4 2 3'
_cell_length_a 10.9854
_cell_length_b 10.9854
_cell_length_c 10.9854
_cell_angle_alpha 90.00
_cell_angle_beta 90.00
_cell_angle_gamma 90.00
loop_
_atom_site_label
_atom_site_type_symbol
_atom_site_fract_x
_atom_site_fract_y
_atom_site_fract_z
K1 K 0.0000 0.0000 0.0000
Rb1 Rb 0.2500 0.2500 0.2500
Au1 Au 0.0000 0.0000 0.5000
Cl1 Cl 0.0000 0.0000 0.2710
```

Principal peaks in the range 2θ from 15° to 90°, most intense first:
22.9°, I 100, hkl 2 2 0; 32.6°, I 67, hkl 4 0 0; 40.2°, I 45, hkl 4 2 2; 46.8°, I 45, hkl 4 4 0; 63.4°, I 26, hkl 6 4 2; 26.9°, I 24, hkl 3 1 1; 52.7°, I 24, hkl 6 2 0; 16.1°, I 20, hkl 2 0 0; 77.8°, I 18, hkl 8 4 0; 42.8°, I 17, hkl 5 1 1